[1]
# AgSNO3
Simulated X-ray diffraction stick pattern, CuKα. Input: the PBE geometry in the Materials Project.

Most intense lines, 2θ = 15–90°, sorted by position:
d/Å  intensity
5.387  76
3.527  15
2.927  100
2.624  22
2.588  17
2.359  30
2.321  18
2.132  29
1.982  15
1.567  13

Structural model:
```
AgSNO3
1.0
10.775 0.000 0.000
-5.387 9.331 0.000
0.000 0.000 5.248
Ag S N O
6 6 6 18
direct
0.077 0.432 0.000 Ag
0.355 0.923 0.000 Ag
0.432 0.077 0.500 Ag
0.568 0.645 0.000 Ag
0.645 0.568 0.500 Ag
0.923 0.355 0.500 Ag
0.205 0.706 0.511 S
0.294 0.500 0.511 S
0.500 0.294 0.011 S
0.500 0.795 0.511 S
0.706 0.205 0.011 S
0.795 0.500 0.011 S
0.176 0.547 0.607 N
0.371 0.824 0.607 N
0.453 0.629 0.607 N
0.547 0.176 0.107 N
0.629 0.453 0.107 N
0.824 0.371 0.107 N
0.036 0.221 0.039 O
0.110 0.738 0.648 O
0.185 0.964 0.039 O
0.199 0.703 0.231 O
0.221 0.036 0.539 O
0.262 0.372 0.648 O
0.297 0.495 0.231 O
0.372 0.262 0.148 O
0.495 0.297 0.731 O
0.505 0.801 0.231 O
0.628 0.890 0.648 O
0.703 0.199 0.731 O
0.738 0.110 0.148 O
0.779 0.815 0.039 O
0.801 0.505 0.731 O
0.815 0.779 0.539 O
0.890 0.628 0.148 O
0.964 0.185 0.539 O
```

---

[2]
# LaCeIn6
Simulated X-ray diffraction stick pattern, CuKα. Input: the PBE geometry in the Materials Project.

Most intense lines, 2θ = 15–90°, sorted by position:
d/Å  intensity
2.744  100
2.385  17
2.372  33
1.682  23
1.677  11
1.437  13
1.431  26
1.372  11
1.186  4
1.091  11

Structural model:
```
LaCeIn6
1.0
4.743 0.000 0.000
0.000 4.743 0.000
0.000 0.000 9.541
La Ce In
1 1 6
direct
0.000 0.000 0.000 La
0.000 0.000 0.500 Ce
0.000 0.500 0.252 In
0.000 0.500 0.748 In
0.500 0.000 0.252 In
0.500 0.000 0.748 In
0.500 0.500 0.000 In
0.500 0.500 0.500 In
```

---

[3]
# ScMoN3
Simulated X-ray diffraction stick pattern, CuKα. Input: the PBE geometry in the Materials Project.

Most intense lines, 2θ = 15–90°, sorted by position:
d/Å  intensity
4.889  49
4.846  100
3.834  45
3.388  33
3.045  34
3.014  29
2.582  39
2.561  27
2.483  26
2.177  43

Structural model:
```
ScMoN3
1.0
5.716 0.000 0.000
2.162 7.516 0.000
1.098 3.484 7.257
Sc Mo N
4 4 12
direct
0.023 0.107 0.266 Sc
0.073 0.327 0.822 Sc
0.927 0.673 0.178 Sc
0.977 0.893 0.734 Sc
0.249 0.681 0.520 Mo
0.390 0.821 0.097 Mo
0.610 0.179 0.903 Mo
0.751 0.319 0.480 Mo
0.003 0.367 0.311 N
0.077 0.811 0.288 N
0.223 0.747 0.979 N
0.272 0.899 0.527 N
0.311 0.113 0.049 N
0.439 0.383 0.687 N
0.561 0.617 0.313 N
0.689 0.887 0.951 N
0.728 0.101 0.473 N
0.777 0.253 0.021 N
0.923 0.189 0.712 N
0.997 0.633 0.689 N
```

---

[4]
# Sm2Ga2Fe15C3
Simulated X-ray diffraction stick pattern, CuKα. Input: the PBE geometry in the Materials Project.

Most intense lines, 2θ = 15–90°, sorted by position:
d/Å  intensity
3.032  34
2.912  21
2.525  49
2.424  43
2.187  89
2.165  100
2.120  32
2.102  50
1.940  24
1.263  21

Structural model:
```
Sm2Ga2Fe15C3
1.0
4.374 2.525 4.206
-4.374 2.525 4.206
0.000 -5.050 4.206
Sm Ga Fe C
2 2 15 3
direct
0.152 0.152 0.152 Sm
0.848 0.848 0.848 Sm
0.398 0.398 0.398 Ga
0.602 0.602 0.602 Ga
0.000 0.500 0.500 Fe
0.156 0.156 0.646 Fe
0.156 0.646 0.156 Fe
0.215 0.500 0.785 Fe
0.215 0.785 0.500 Fe
0.354 0.844 0.844 Fe
0.500 0.000 0.500 Fe
0.500 0.215 0.785 Fe
0.500 0.500 0.000 Fe
0.500 0.785 0.215 Fe
0.646 0.156 0.156 Fe
0.785 0.215 0.500 Fe
0.785 0.500 0.215 Fe
0.844 0.354 0.844 Fe
0.844 0.844 0.354 Fe
0.000 0.000 0.500 C
0.000 0.500 0.000 C
0.500 0.000 0.000 C
```

---

[5]
# Y2Br2O
Simulated X-ray diffraction stick pattern, CuKα. Input: the PBE geometry in the Materials Project.

Most intense lines, 2θ = 15–90°, sorted by position:
d/Å  intensity
4.166  100
3.275  13
2.946  40
2.575  27
2.190  17
2.083  15
1.934  15
1.863  20
1.754  11
1.619  13

Structural model:
```
Y2Br2O
1.0
4.166 0.000 0.000
0.000 4.166 0.000
0.000 0.000 13.101
Y Br O
2 2 1
direct
0.000 0.000 0.158 Y
0.000 0.000 0.842 Y
0.000 0.000 0.357 Br
0.000 0.000 0.643 Br
0.000 0.000 0.000 O
```

---

[6]
# Lu3Ga9Pd2
Simulated X-ray diffraction stick pattern, CuKα. Input: the PBE geometry in the Materials Project.

Most intense lines, 2θ = 15–90°, sorted by position:
d/Å  intensity
2.594  18
2.537  28
2.516  100
2.508  30
2.426  30
2.348  27
2.135  40
2.069  17
1.626  16
1.346  20

Structural model:
```
Lu3Ga9Pd2
1.0
-2.135 4.730 6.206
2.135 -4.730 6.206
2.135 4.730 -6.206
Lu Ga Pd
3 9 2
direct
0.000 0.000 0.000 Lu
0.300 0.300 0.000 Lu
0.700 0.700 0.000 Lu
0.023 0.655 0.368 Ga
0.146 0.863 0.283 Ga
0.287 0.655 0.632 Ga
0.419 0.137 0.283 Ga
0.500 0.000 0.500 Ga
0.581 0.863 0.717 Ga
0.713 0.345 0.368 Ga
0.854 0.137 0.717 Ga
0.977 0.345 0.632 Ga
0.319 0.500 0.819 Pd
0.681 0.500 0.181 Pd
```

---

[7]
# NdSiPd2
Simulated X-ray diffraction stick pattern, CuKα. Input: the PBE geometry in the Materials Project.

Most intense lines, 2θ = 15–90°, sorted by position:
d/Å  intensity
2.877  72
2.773  76
2.673  58
2.568  85
2.496  100
2.342  46
2.310  83
2.156  34
2.073  44
1.469  58

Structural model:
```
NdSiPd2
1.0
7.579 0.000 0.000
0.000 6.983 0.000
0.000 0.000 5.712
Nd Si Pd
4 4 8
direct
0.029 0.250 0.145 Nd
0.471 0.750 0.645 Nd
0.529 0.250 0.355 Nd
0.971 0.750 0.855 Nd
0.127 0.750 0.353 Si
0.373 0.250 0.853 Si
0.627 0.750 0.147 Si
0.873 0.250 0.647 Si
0.174 0.053 0.592 Pd
0.174 0.447 0.592 Pd
0.326 0.553 0.092 Pd
0.326 0.947 0.092 Pd
0.674 0.053 0.908 Pd
0.674 0.447 0.908 Pd
0.826 0.553 0.408 Pd
0.826 0.947 0.408 Pd
```

---

[8]
# K2SnO2
Simulated X-ray diffraction stick pattern, CuKα. Input: the PBE geometry in the Materials Project.

Most intense lines, 2θ = 15–90°, sorted by position:
d/Å  intensity
5.896  60
5.154  78
4.649  65
3.123  66
3.094  83
3.054  81
3.021  71
2.846  100
2.619  79
2.544  89

Structural model:
```
K2SnO2
1.0
7.309 0.000 0.000
3.632 6.651 0.000
3.352 -0.987 9.368
K Sn O
8 4 8
direct
0.063 0.453 0.173 K
0.073 0.933 0.183 K
0.242 0.260 0.492 K
0.394 0.572 0.859 K
0.606 0.428 0.141 K
0.758 0.740 0.508 K
0.927 0.067 0.817 K
0.937 0.547 0.827 K
0.305 0.705 0.474 Sn
0.398 0.056 0.875 Sn
0.602 0.944 0.125 Sn
0.695 0.295 0.526 Sn
0.068 0.215 0.980 O
0.195 0.601 0.352 O
0.342 0.485 0.625 O
0.496 0.810 0.007 O
0.504 0.190 0.993 O
0.658 0.515 0.375 O
0.805 0.399 0.648 O
0.932 0.785 0.020 O
```

---

[9]
# Eu2ZnGe3
Simulated X-ray diffraction stick pattern, CuKα. Input: the PBE geometry in the Materials Project.

Most intense lines, 2θ = 15–90°, sorted by position:
d/Å  intensity
3.714  12
2.846  100
2.215  10
2.144  42
1.902  7
1.713  22
1.541  20
1.372  7
1.338  19
1.238  7

Structural model:
```
Eu2ZnGe3
1.0
4.288 0.000 0.000
-2.144 3.714 0.000
0.000 0.000 17.720
Eu Zn Ge
4 2 6
direct
0.000 0.000 0.129 Eu
0.000 0.000 0.371 Eu
0.000 0.000 0.629 Eu
0.000 0.000 0.871 Eu
0.333 0.667 0.250 Zn
0.667 0.333 0.750 Zn
0.333 0.667 0.025 Ge
0.333 0.667 0.475 Ge
0.333 0.667 0.750 Ge
0.667 0.333 0.250 Ge
0.667 0.333 0.525 Ge
0.667 0.333 0.975 Ge
```